Entry 1:
# Sr3Cu3P4O16
Simulated XRD peak list, λ = 1.5418 Å (Cu Kα). Input: a crystal structure in Alexandria, relaxed with GGA-PBE.
Kinematic intensities with the Lorentz-polarization factor, no thermal factor.

Atomic structure:
```
52
Lattice="9.3490 0.0000 0.0000 0.0000 5.0160 0.0000 -8.5767 0.0000 15.1891" Properties=species:S:1:pos:R:3 pbc="T T T"
Sr 0.0000 0.0000 0.0000
Sr -4.2884 2.5080 7.5945
Sr 0.5970 0.1652 4.0061
Sr -3.6913 2.3428 11.6006
Sr 4.4636 2.6731 3.5885
Sr 0.1752 4.8508 11.1830
Cu -1.3194 2.6960 5.7664
Cu -5.6078 4.8280 13.3609
Cu 0.3861 0.0000 7.5945
Cu 4.6745 2.5080 0.0000
Cu 6.3801 0.1880 1.8281
Cu 2.0917 2.3200 9.4227
P -1.0728 2.5948 2.4896
P -5.3612 4.9292 10.0841
P -0.9397 2.5619 8.9288
P 3.3486 4.9620 1.3342
P -2.5763 0.0539 13.8548
P 1.7120 2.4541 6.2603
P 6.1334 0.0868 5.1050
P 1.8451 2.4212 12.6995
O -5.2875 3.4109 9.7643
O -0.9992 4.1130 2.1698
O -4.3351 0.7166 9.2808
O -0.0467 1.7914 1.6863
O -6.0369 2.9060 12.9072
O -1.7485 4.6180 5.3127
O -4.9020 0.1046 11.5859
O -0.6137 2.4034 3.9914
O -1.8113 2.8287 7.6736
O 2.4770 4.6952 0.0791
O -3.8852 0.9578 13.9583
O 0.4032 1.5502 6.3637
O -1.6841 2.9446 10.2075
O 2.6043 4.5794 2.6130
O -0.4711 1.0720 9.0139
O 3.8173 1.4360 1.4194
O -3.0450 3.5799 13.7697
O 1.2433 3.9440 6.1752
O -1.8320 0.4366 12.5761
O 2.4563 2.0714 4.9815
O 0.3691 3.4658 8.8253
O 4.6575 4.0582 1.2308
O -1.7048 0.3208 15.1100
O 2.5836 2.1872 7.5154
O 1.3859 2.6126 11.1977
O 5.6743 4.9113 3.6032
O 2.5208 0.3980 9.8764
O 6.8091 2.1100 2.2819
O 0.8190 3.2246 13.5028
O 5.1073 4.2994 5.9083
O 1.7714 0.9030 13.0193
O 6.0598 1.6050 5.4248
```

Top 10 peaks for 5 to 70 degrees two-theta, low angle first:
two_theta, d_spacing, Rel. int.
11.37, 7.780, 65
18.63, 4.763, 44
19.01, 4.668, 38
26.52, 3.361, 69
29.57, 3.021, 48
30.67, 2.915, 100
31.08, 2.877, 52
31.43, 2.846, 87
33.90, 2.645, 94
35.80, 2.508, 58

***

Entry 2:
# UCuSnRu
Simulated XRD peak list, λ = 1.5418 Å (Cu Kα). Input: a crystal structure in Alexandria, relaxed with GGA-PBE.
Kinematic intensities with the Lorentz-polarization factor, no thermal factor.

Atomic structure:
```
4
Lattice="0.0000 3.3335 3.3335 3.3335 0.0000 3.3335 3.3335 3.3335 0.0000" Properties=species:S:1:pos:R:3 pbc="T T T"
U 0.0000 0.0000 0.0000
Cu 5.0002 5.0002 5.0002
Sn 3.3335 3.3335 3.3335
Ru 1.6667 1.6667 1.6667
```

Top 9 peaks for 5 to 70 degrees two-theta, low angle first:
two_theta, d_spacing, Rel. int.
23.11, 3.849, 11
26.74, 3.333, 14
38.18, 2.357, 100
45.10, 2.010, 6
47.23, 1.925, 4
55.10, 1.667, 17
60.53, 1.530, 2
62.28, 1.491, 6
69.01, 1.361, 36

***

Entry 3:
# TbHo2B6
Simulated XRD peak list, λ = 1.5418 Å (Cu Kα). Input: a crystal structure in Alexandria, relaxed with GGA-PBE.
Kinematic intensities with the Lorentz-polarization factor, no thermal factor.

Atomic structure:
```
9
Lattice="5.6901 0.0000 0.0000 -2.8451 4.9278 0.0000 0.0000 0.0000 3.8725" Properties=species:S:1:pos:R:3 pbc="T T T"
Tb 0.0000 0.0000 0.0000
Ho 0.0000 3.2852 0.0000
Ho 2.8451 1.6426 0.0000
B -0.9521 1.6491 1.9362
B -1.8930 3.2787 1.9362
B 1.9042 0.0000 1.9362
B 0.9521 1.6491 1.9362
B 3.7859 0.0000 1.9362
B 1.8930 3.2787 1.9362
```

Top 8 peaks for 5 to 70 degrees two-theta, low angle first:
two_theta, d_spacing, Rel. int.
22.97, 3.872, 47
31.44, 2.845, 75
39.30, 2.293, 100
46.93, 1.936, 11
55.98, 1.643, 19
57.58, 1.601, 28
61.30, 1.512, 21
65.63, 1.423, 9

***

Entry 4:
# Cs2Li2VCl6
Simulated XRD peak list, λ = 1.5418 Å (Cu Kα). Input: a crystal structure in Alexandria, relaxed with GGA-PBE.
Kinematic intensities with the Lorentz-polarization factor, no thermal factor.

Atomic structure:
```
11
Lattice="6.6783 0.0000 0.0000 -3.3391 5.7836 0.0000 0.0000 0.0000 7.8437" Properties=species:S:1:pos:R:3 pbc="T T T"
Cs 0.0000 3.8557 0.0000
Cs 3.3391 1.9278 0.0000
Li 0.0000 3.8557 3.9219
Li 3.3391 1.9278 3.9219
V 0.0000 0.0000 3.9219
Cl -1.0575 1.8317 2.5502
Cl -2.2816 3.9519 5.2935
Cl 2.1150 0.0000 2.5502
Cl 1.0575 1.8317 5.2935
Cl 4.5632 0.0000 5.2935
Cl 2.2816 3.9519 2.5502
```

Top 10 peaks for 5 to 70 degrees two-theta, low angle first:
two_theta, d_spacing, Rel. int.
19.07, 4.655, 95
26.70, 3.339, 28
29.06, 3.072, 90
33.01, 2.713, 19
35.30, 2.542, 100
42.95, 2.106, 20
47.14, 1.928, 34
54.25, 1.691, 25
59.58, 1.552, 19
60.24, 1.536, 19

***

Entry 5:
# Nd2DyAs3
Simulated XRD peak list, λ = 1.5418 Å (Cu Kα). Input: a crystal structure in Alexandria, relaxed with GGA-PBE.
Kinematic intensities with the Lorentz-polarization factor, no thermal factor.

Atomic structure:
```
6
Lattice="-2.1124 2.1124 8.9566 2.1124 -2.1124 8.9566 2.1124 2.1124 -8.9566" Properties=species:S:1:pos:R:3 pbc="T T T"
Nd 0.0000 0.0000 2.9763
Nd 0.0000 0.0000 14.9369
Dy 0.0000 0.0000 8.9566
As 0.0000 0.0000 0.0000
As 0.0000 0.0000 6.0171
As 0.0000 0.0000 11.8961
```

Top 7 peaks for 5 to 70 degrees two-theta, low angle first:
two_theta, d_spacing, Rel. int.
25.83, 3.449, 19
29.92, 2.987, 100
42.82, 2.112, 75
50.69, 1.801, 10
53.11, 1.724, 26
62.16, 1.493, 12
68.46, 1.370, 4

***

Entry 6:
# TbTh2Tl
Simulated XRD peak list, λ = 1.5418 Å (Cu Kα). Input: a crystal structure in Alexandria, relaxed with GGA-PBE.
Kinematic intensities with the Lorentz-polarization factor, no thermal factor.

Atomic structure:
```
8
Lattice="4.7280 0.0000 0.0000 0.0000 4.7000 0.0000 -2.3735 0.0000 11.3216" Properties=species:S:1:pos:R:3 pbc="T T T"
Tb -0.0003 1.1750 4.3914
Tb 2.3548 3.5250 6.9302
Th 0.0001 3.5250 1.3808
Th -0.0093 3.5250 9.9628
Th 2.3639 1.1750 1.3588
Th 2.3544 1.1750 9.9409
Tl -0.0114 1.1750 7.4754
Tl 2.3660 3.5250 3.8462
```

Top 10 peaks for 5 to 70 degrees two-theta, low angle first:
two_theta, d_spacing, Rel. int.
7.81, 11.322, 15
29.29, 3.049, 91
31.61, 2.830, 40
33.38, 2.685, 100
38.07, 2.364, 30
38.30, 2.350, 30
50.29, 1.814, 22
50.48, 1.808, 22
55.10, 1.667, 21
59.92, 1.544, 20

***

Entry 7:
# Tb2Pr12Dy
Simulated XRD peak list, λ = 1.5418 Å (Cu Kα). Input: a crystal structure in Alexandria, relaxed with GGA-PBE.
Kinematic intensities with the Lorentz-polarization factor, no thermal factor.

Atomic structure:
```
30
Lattice="6.6266 0.0000 0.0000 0.0000 6.6266 0.0000 0.0000 0.0000 25.7403" Properties=species:S:1:pos:R:3 pbc="T T T"
Tb 1.6566 4.9699 5.8891
Tb 1.6566 4.9699 19.8512
Tb 4.9699 1.6566 5.8891
Tb 4.9699 1.6566 19.8512
Pr 0.4421 3.7554 9.9575
Pr 0.4421 6.1845 15.7828
Pr 0.5417 3.8550 1.6104
Pr 0.5417 6.0849 24.1298
Pr 1.6566 1.6566 4.2014
Pr 1.6566 1.6566 7.3507
Pr 1.6566 1.6566 18.3896
Pr 1.6566 1.6566 21.5389
Pr 2.7716 3.8550 24.1298
Pr 2.7716 6.0849 1.6104
Pr 2.8712 3.7554 15.7828
Pr 2.8712 6.1845 9.9575
Pr 3.7554 0.4421 15.7828
Pr 3.7554 2.8712 9.9575
Pr 3.8550 0.5417 24.1298
Pr 3.8550 2.7716 1.6104
Pr 4.9699 4.9699 4.2014
Pr 4.9699 4.9699 7.3507
Pr 4.9699 4.9699 18.3896
Pr 4.9699 4.9699 21.5389
Pr 6.0849 0.5417 1.6104
Pr 6.0849 2.7716 24.1298
Pr 6.1845 0.4421 9.9575
Pr 6.1845 2.8712 15.7828
Dy 1.6566 4.9699 12.8701
Dy 4.9699 1.6566 12.8701
```

Top 10 peaks for 5 to 70 degrees two-theta, low angle first:
two_theta, d_spacing, Rel. int.
27.80, 3.209, 78
28.89, 3.091, 55
30.35, 2.945, 98
30.91, 2.893, 100
31.27, 2.860, 51
31.95, 2.801, 89
36.85, 2.439, 61
38.42, 2.343, 57
43.20, 2.094, 36
54.27, 1.690, 51

***

Entry 8:
# AcTbAg2S4
Simulated XRD peak list, λ = 1.5418 Å (Cu Kα). Input: a crystal structure in Alexandria, relaxed with GGA-PBE.
Kinematic intensities with the Lorentz-polarization factor, no thermal factor.

Atomic structure:
```
8
Lattice="-3.4171 3.5235 4.0681 3.4171 -3.5235 4.0681 3.4171 3.5235 -4.0681" Properties=species:S:1:pos:R:3 pbc="T T T"
Ac 0.0000 0.0000 0.0000
Tb 0.0000 0.0000 4.0681
Ag 3.4171 0.0000 2.6331
Ag 0.0000 3.5235 1.4350
S 1.9000 1.9294 -1.4621
S 4.9342 1.9294 1.4621
S 1.5171 1.5941 2.6060
S -1.5171 1.5941 5.5303
```

Top 10 peaks for 5 to 70 degrees two-theta, low angle first:
two_theta, d_spacing, Rel. int.
16.94, 5.233, 14
18.08, 4.906, 13
25.28, 3.523, 27
26.08, 3.417, 26
28.50, 3.132, 100
36.63, 2.453, 49
46.58, 1.950, 27
47.53, 1.913, 25
48.45, 1.879, 18
51.90, 1.762, 13